The following is a simulated powder XRD pattern of Zr4Tl5H. It was derived from the PBE geometry in Alexandria, using Cu Kα, 1.54184 Å.
Neutral-atom scattering factors, no anomalous dispersion.

Structural model:
a = 8.7592 Å, b = 8.7592 Å, c = 8.4586 Å
α = 102.23°, β = 102.23°, γ = 21.30°
Positions (direct):
Zr1 0.0074 0.0074 0.3255
Zr2 0.3568 0.3568 0.4603
Zr3 0.6432 0.6432 0.5397
Zr4 0.9926 0.9926 0.6745
Tl1 0.1663 0.1663 0.8797
Tl2 0.1821 0.1821 0.2495
Tl3 0.5000 0.5000 0.0000
Tl4 0.8179 0.8179 0.7505
Tl5 0.8337 0.8337 0.1203
H1 0.5000 0.5000 0.5000

Main lines, in order of rising 2θ (2θ from 5° to 70°):
Position (°2θ)  Rel. int.
10.71  15
26.01  15
31.93  64
32.61  34
34.90  100
36.46  29
47.56  18
53.01  12
56.89  15
66.74  13